Theoretical XRD peak list of CaW for Cu Kα X-rays, from a cell relaxed with GGA-PBE.
Lines closer than 0.1° are merged.

Largest 10 diffraction maxima, by intensity, 2θ = 15–90°:
hkl 2 2 0, 36.8 deg, intensity 100
hkl 1 1 1, 22.3 deg, intensity 45
hkl 4 2 2, 66.3 deg, intensity 35
hkl 3 1 1, 43.5 deg, intensity 25
hkl 4 0 0, 53.0 deg, intensity 17
hkl 6 2 0, 89.8 deg, intensity 16
hkl 4 4 0, 78.3 deg, intensity 11
hkl 3 3 1, 58.2 deg, intensity 11
hkl 5 3 1, 82.7 deg, intensity 8
hkl 5 1 1, 70.9 deg, intensity 8

Atomic structure:
a b c (Å): 6.906 6.906 6.906
angles (deg): 90.00 90.00 90.00
Space group Fd-3m (No. 227, origin choice 2)
Inequivalent atoms, fractional coordinates:
1 Ca 0.125 0.125 0.125
2 W 0.125 0.125 0.625

=====

Theoretical XRD peak list of Ca3Y for Cu Kα X-rays, from a cell relaxed with GGA-PBE.
Lines closer than 0.1° are merged.

Largest 10 diffraction maxima, by intensity, 2θ = 15–90°:
hkl 1 1 1, 28.6 deg, intensity 100
hkl 2 0 0, 33.1 deg, intensity 50
hkl 3 1 1, 56.4 deg, intensity 39
hkl 2 2 0, 47.5 deg, intensity 34
hkl 3 3 1, 76.8 deg, intensity 15
hkl 4 2 0, 79.1 deg, intensity 14
hkl 1 0 0, 16.4 deg, intensity 13
hkl 1 1 0, 23.2 deg, intensity 12
hkl 2 2 2, 59.1 deg, intensity 11
hkl 4 2 2, 88.5 deg, intensity 10

Atomic structure:
a b c (Å): 5.413 5.413 5.413
angles (deg): 90.00 90.00 90.00
Space group Pm-3m (No. 221)
Inequivalent atoms, fractional coordinates:
1 Ca 0.000 0.000 0.500
2 Y 0.500 0.500 0.500

=====

Theoretical XRD peak list of Ca3Y for Cu Kα X-rays, from a cell relaxed with GGA-PBE.
Lines closer than 0.1° are merged.

Largest 10 diffraction maxima, by intensity, 2θ = 15–90°:
hkl 2 2 0, 29.8 deg, intensity 100
hkl 4 2 2, 52.8 deg, intensity 36
hkl 4 0 0, 42.6 deg, intensity 18
hkl 6 4 2, 85.6 deg, intensity 16
hkl 6 2 0, 70.1 deg, intensity 15
hkl 4 4 0, 61.8 deg, intensity 11
hkl 1 1 1, 18.1 deg, intensity 11
hkl 3 1 1, 35.0 deg, intensity 6
hkl 2 0 0, 20.9 deg, intensity 6
hkl 4 4 4, 78.0 deg, intensity 4

Atomic structure:
a b c (Å): 8.491 8.491 8.491
angles (deg): 90.00 90.00 90.00
Space group Fm-3m (No. 225)
Inequivalent atoms, fractional coordinates:
1 Ca 0.000 0.000 0.000
2 Ca 0.250 0.250 0.250
3 Y 0.000 0.000 0.500

=====

Theoretical XRD peak list of Ca3Y for Cu Kα X-rays, from a cell relaxed with GGA-PBE.
Lines closer than 0.1° are merged.

Largest 10 diffraction maxima, by intensity, 2θ = 15–90°:
hkl 1 1 2, 28.6 deg, intensity 100
hkl 2 0 0, 33.3 deg, intensity 33
hkl 3 1 2, 56.6 deg, intensity 26
hkl 2 0 4, 47.4 deg, intensity 23
hkl 0 0 4, 32.8 deg, intensity 17
hkl 1 0 1, 18.4 deg, intensity 14
hkl 1 1 6, 56.0 deg, intensity 13
hkl 2 2 4, 59.1 deg, intensity 11
hkl 2 2 0, 47.7 deg, intensity 11
hkl 3 1 6, 76.6 deg, intensity 10

Atomic structure:
a b c (Å): 5.388 5.388 10.924
angles (deg): 90.00 90.00 90.00
Space group I4/mmm (No. 139)
Inequivalent atoms, fractional coordinates:
1 Ca 0.000 0.000 0.000
2 Ca 0.000 0.500 0.250
3 Y 0.000 0.000 0.500

=====

Theoretical XRD peak list of CaYZn2 for Cu Kα X-rays, from a cell relaxed with GGA-PBE.
Lines closer than 0.1° are merged.

Largest 10 diffraction maxima, by intensity, 2θ = 15–90°:
hkl 2 2 0, 35.0 deg, intensity 100
hkl 4 2 2, 62.8 deg, intensity 34
hkl 4 0 0, 50.4 deg, intensity 17
hkl 6 2 0, 84.6 deg, intensity 14
hkl 4 4 0, 74.0 deg, intensity 10
hkl 1 1 1, 21.2 deg, intensity 7
hkl 3 1 1, 41.3 deg, intensity 4
hkl 3 3 1, 55.3 deg, intensity 2
hkl 5 1 1, 67.1 deg, intensity 1
hkl 5 3 1, 78.0 deg, intensity 1

Atomic structure:
a b c (Å): 7.245 7.245 7.245
angles (deg): 90.00 90.00 90.00
Space group Fm-3m (No. 225)
Inequivalent atoms, fractional coordinates:
1 Ca 0.000 0.000 0.000
2 Y 0.000 0.000 0.500
3 Zn 0.250 0.250 0.250

=====

Theoretical XRD peak list of CaZn for Cu Kα X-rays, from a cell relaxed with GGA-PBE.
Lines closer than 0.1° are merged.

Largest 10 diffraction maxima, by intensity, 2θ = 15–90°:
hkl 0 1 2, 30.8 deg, intensity 100
hkl 1 1 0, 36.7 deg, intensity 61
hkl 2 0 2, 48.6 deg, intensity 26
hkl 1 2 2, 62.4 deg, intensity 23
hkl 1 0 4, 50.5 deg, intensity 23
hkl 2 1 4, 76.1 deg, intensity 13
hkl 1 0 1, 23.7 deg, intensity 12
hkl 0 2 4, 64.0 deg, intensity 11
hkl 1 1 6, 82.5 deg, intensity 10
hkl 3 0 0, 66.1 deg, intensity 10

Atomic structure:
a b c (Å): 4.9000 4.9000 7.9841
angles (deg): 90.00 90.00 120.00
Space group R-3m (No. 166, hexagonal axes)
Inequivalent atoms, fractional coordinates:
1 Ca 0.0000 0.0000 0.0000
2 Zn 0.0000 0.0000 0.5000